# 1
Structure and simulated powder XRD pattern of SrPmSe2F (the PBE geometry in Alexandria; Cu Ka).
Neutral-atom scattering factors, no anomalous dispersion.

Principal peaks in the range 2θ = 10–80°, low angle first:
- 24.02°, I = 35, hkl 0 0 4
- 24.46°, I = 26, hkl 1 0 2
- 30.26°, I = 100, hkl 1 1 0
- 39.00°, I = 53, hkl 1 1 4
- 42.52°, I = 29, hkl 1 0 6
- 43.30°, I = 58, hkl 2 0 0

```
data_SrPmSe2F
_cell_length_a 4.177
_cell_length_b 4.177
_cell_length_c 14.821
_cell_angle_alpha 90.00
_cell_angle_beta 90.00
_cell_angle_gamma 90.00
_space_group_name_H-M_alt 'P 4/n m m'
_space_group_IT_number 129
loop_
_space_group_symop_operation_xyz
'x,y,z'
'-x,-y,-z'
'-y+1/2,x,z'
'y+1/2,-x,-z'
'-x+1/2,-y+1/2,z'
'x+1/2,y+1/2,-z'
'y,-x+1/2,z'
'-y,x+1/2,-z'
'x+1/2,-y,-z'
'-x+1/2,y,z'
'-y,-x,-z'
'y,x,z'
'-x,y+1/2,-z'
'x,-y+1/2,z'
'y+1/2,x+1/2,-z'
'-y+1/2,-x+1/2,z'
loop_
_atom_site_label
_atom_site_fract_x
_atom_site_fract_y
_atom_site_fract_z
Sr1 0.250 0.250 0.095
Pm1 0.250 0.250 0.625
Se1 0.250 0.250 0.408
Se2 0.250 0.250 0.807
F1 0.250 0.750 0.000
```

# 2
Structure and simulated powder XRD pattern of Pm2SiF2 (the PBE geometry in Alexandria; Cu Ka).
Neutral-atom scattering factors, no anomalous dispersion.

Principal peaks in the range 2θ = 10–80°, low angle first:
- 22.26°, I = 81, hkl 2 0 0
- 26.18°, I = 38, hkl 2 0 -2
- 27.43°, I = 66, hkl 0 2 1
- 29.84°, I = 100, hkl 2 2 -1
- 30.34°, I = 53, hkl 0 0 2
- 45.39°, I = 51, hkl 2 2 -3

```
data_Pm2SiF2
_cell_length_a 9.479
_cell_length_b 7.796
_cell_length_c 6.995
_cell_angle_alpha 90.00
_cell_angle_beta 122.60
_cell_angle_gamma 90.00
_space_group_name_H-M_alt 'C 1 2/c 1'
_space_group_IT_number 15
loop_
_space_group_symop_operation_xyz
'x,y,z'
'-x,-y,-z'
'-x,y,-z+1/2'
'x,-y,z+1/2'
'x+1/2,y+1/2,z'
'-x+1/2,-y+1/2,-z'
'-x+1/2,y+1/2,-z+1/2'
'x+1/2,-y+1/2,z+1/2'
loop_
_atom_site_label
_atom_site_fract_x
_atom_site_fract_y
_atom_site_fract_z
Pm1 0.233 0.113 0.244
Si1 0.000 0.164 0.750
F1 0.168 0.376 0.353
```

# 3
Structure and simulated powder XRD pattern of Pm5Sn3F (the PBE geometry in Alexandria; Cu Ka).
Neutral-atom scattering factors, no anomalous dispersion.

Principal peaks in the range 2θ = 10–80°, low angle first:
- 29.48°, I = 27, hkl 2 1 0
- 32.51°, I = 100, hkl 2 1 1
- 33.33°, I = 88, hkl 1 1 2
- 33.54°, I = 51, hkl 3 0 0
- 48.01°, I = 22, hkl 2 2 2
- 51.30°, I = 28, hkl 2 1 3

```
data_Pm5Sn3F
_cell_length_a 9.2563
_cell_length_b 9.2563
_cell_length_c 6.6039
_cell_angle_alpha 90.00
_cell_angle_beta 90.00
_cell_angle_gamma 120.00
_space_group_name_H-M_alt 'P 63/m c m'
_space_group_IT_number 193
_space_group_name_Hall '-P 6c 2'
loop_
_atom_site_label
_atom_site_fract_x
_atom_site_fract_y
_atom_site_fract_z
Pm1 0.0000 0.2463 0.2500
Pm2 0.3333 0.6667 0.0000
Sn1 0.0000 0.3918 0.7500
F1 0.0000 0.0000 0.0000
```

# 4
Structure and simulated powder XRD pattern of SrPmTe2F (the PBE geometry in Alexandria; Cu Ka).
Neutral-atom scattering factors, no anomalous dispersion.

Principal peaks in the range 2θ = 10–80°, low angle first:
- 22.53°, I = 26, hkl 0 0 4
- 26.42°, I = 30, hkl 1 0 3
- 28.72°, I = 100, hkl 1 1 0
- 34.99°, I = 33, hkl 1 0 5
- 36.81°, I = 40, hkl 1 1 4
- 41.06°, I = 45, hkl 2 0 0

```
data_SrPmTe2F
_cell_length_a 4.397
_cell_length_b 4.397
_cell_length_c 15.784
_cell_angle_alpha 90.00
_cell_angle_beta 90.00
_cell_angle_gamma 90.00
_space_group_name_H-M_alt 'P 4/n m m'
_space_group_IT_number 129
loop_
_space_group_symop_operation_xyz
'x,y,z'
'-x,-y,-z'
'-y+1/2,x,z'
'y+1/2,-x,-z'
'-x+1/2,-y+1/2,z'
'x+1/2,y+1/2,-z'
'y,-x+1/2,z'
'-y,x+1/2,-z'
'x+1/2,-y,-z'
'-x+1/2,y,z'
'-y,-x,-z'
'y,x,z'
'-x,y+1/2,-z'
'x,-y+1/2,z'
'y+1/2,x+1/2,-z'
'-y+1/2,-x+1/2,z'
loop_
_atom_site_label
_atom_site_fract_x
_atom_site_fract_y
_atom_site_fract_z
Sr1 0.250 0.250 0.083
Pm1 0.250 0.250 0.627
Te1 0.250 0.250 0.410
Te2 0.250 0.250 0.812
F1 0.250 0.750 0.000
```

# 5
Structure and simulated powder XRD pattern of Pm2Te3F (the PBE geometry in Alexandria; Cu Ka).
Neutral-atom scattering factors, no anomalous dispersion.

Principal peaks in the range 2θ = 10–80°, low angle first:
- 29.19°, I = 100, hkl 0 1 3
- 30.17°, I = 65, hkl 1 1 3
- 30.77°, I = 46, hkl 4 0 1
- 31.59°, I = 70, hkl 3 1 1
- 39.39°, I = 41, hkl 4 1 2
- 42.60°, I = 40, hkl 0 2 0

```
data_Pm2Te3F
_cell_length_a 11.913
_cell_length_b 4.244
_cell_length_c 13.227
_cell_angle_alpha 90.00
_cell_angle_beta 90.00
_cell_angle_gamma 90.00
_space_group_name_H-M_alt 'P n m a'
_space_group_IT_number 62
loop_
_space_group_symop_operation_xyz
'x,y,z'
'-x,-y,-z'
'-x+1/2,-y,z+1/2'
'x+1/2,y,-z+1/2'
'x+1/2,-y+1/2,-z+1/2'
'-x+1/2,y+1/2,z+1/2'
'-x,y+1/2,-z'
'x,-y+1/2,z'
loop_
_atom_site_label
_atom_site_fract_x
_atom_site_fract_y
_atom_site_fract_z
Pm1 0.058 0.250 0.174
Pm2 0.196 0.250 0.520
Te1 0.068 0.750 0.378
Te2 0.121 0.250 0.933
Te3 0.169 0.750 0.695
F1 0.136 0.750 0.129
```

# 6
Structure and simulated powder XRD pattern of PmTeF (the PBE geometry in Alexandria; Cu Ka).
Neutral-atom scattering factors, no anomalous dispersion.

Principal peaks in the range 2θ = 10–80°, low angle first:
- 25.77°, I = 98, hkl 1 1 -2
- 29.18°, I = 100, hkl 0 2 1
- 29.74°, I = 85, hkl 2 1 -1
- 30.88°, I = 64, hkl 2 1 -2
- 34.42°, I = 93, hkl 2 1 0
- 36.72°, I = 53, hkl 1 1 -3

```
data_PmTeF
_cell_length_a 6.759
_cell_length_b 6.893
_cell_length_c 7.999
_cell_angle_alpha 90.00
_cell_angle_beta 123.68
_cell_angle_gamma 90.00
_space_group_name_H-M_alt 'P 1 21/c 1'
_space_group_IT_number 14
loop_
_space_group_symop_operation_xyz
'x,y,z'
'-x,-y,-z'
'-x,y+1/2,-z+1/2'
'x,-y+1/2,z+1/2'
loop_
_atom_site_label
_atom_site_fract_x
_atom_site_fract_y
_atom_site_fract_z
Pm1 0.152 0.185 0.233
Te1 0.313 0.582 0.118
F1 0.109 0.084 0.925
```

What is the formula in the sixth record?
PmTeF